Structure and calculated X-ray powder pattern of Li9Mn2Co5O16 (a GGA+U-relaxed structure; CuKα).

Most intense lines, 2θ from 10° to 90°, in order of falling intensity:
| h k l | d [Å] | Rel. int. |
| --- | --- | --- |
| 4 0 0 | 4.845 | 100 |
| 7 1 -2 | 2.066 | 54 |
| 2 0 4 | 2.106 | 28 |
| 3 1 -2 | 2.483 | 25 |
| 5 1 -6 | 1.471 | 21 |
| 9 1 2 | 1.479 | 14 |
| 2 0 -4 | 2.527 | 14 |
| 5 1 2 | 1.911 | 13 |
| 11 1 -2 | 1.598 | 10 |
| 1 1 2 | 2.388 | 8 |
| 0 2 0 | 1.450 | 7 |
| 2 2 4 | 1.194 | 7 |

Crystal structure
Unit cell a=21.069 b=2.899 c=10.241 alpha=90.00 beta=113.11 gamma=90.00
Space group Cm (No. 8)
Asymmetric unit:
Li1 0.000 0.000 0.000
Li2 0.000 0.500 0.247
Li3 0.003 0.500 0.750
Li4 0.008 0.000 0.512
Li5 0.125 0.500 0.683
Li6 0.240 0.000 0.861
Li7 0.241 0.500 0.620
Li8 0.243 0.500 0.107
Li9 0.246 0.000 0.365
Mn1 0.125 0.000 0.440
Mn2 0.372 0.500 0.556
Co1 0.118 0.000 0.910
Co2 0.124 0.500 0.177
Co3 0.371 0.000 0.808
Co4 0.374 0.500 0.060
Co5 0.375 0.000 0.303
O1 0.061 0.000 0.723
O2 0.065 0.500 0.968
O3 0.067 0.500 0.458
O4 0.069 0.000 0.224
O5 0.179 0.500 0.401
O6 0.180 0.500 0.902
O7 0.181 0.000 0.153
O8 0.181 0.000 0.632
O9 0.315 0.000 0.090
O10 0.316 0.000 0.578
O11 0.317 0.500 0.838
O12 0.319 0.500 0.352
O13 0.422 0.500 0.764
O14 0.430 0.000 0.534
O15 0.431 0.000 0.024
O16 0.433 0.500 0.277


Structure and calculated X-ray powder pattern of Li9Mn2Co5O16 (a GGA+U-relaxed structure; CuKα).

Most intense lines, 2θ from 10° to 90°, in order of falling intensity:
| h k l | d [Å] | Rel. int. |
| --- | --- | --- |
| 2 0 -2 | 4.831 | 100 |
| 1 1 3 | 2.071 | 56 |
| 10 0 -2 | 2.098 | 27 |
| 3 1 1 | 2.493 | 26 |
| 2 0 6 | 1.471 | 21 |
| 9 1 -5 | 1.477 | 14 |
| 8 0 0 | 2.520 | 13 |
| 1 1 -5 | 1.599 | 10 |
| 7 1 -3 | 1.912 | 9 |
| 0 2 0 | 1.458 | 8 |
| 5 1 -1 | 2.394 | 7 |
| 10 2 -2 | 1.197 | 6 |

Crystal structure
Unit cell a=21.162 b=2.916 c=9.795 alpha=90.00 beta=107.73 gamma=90.00
Space group C2/m (No. 12)
Asymmetric unit:
Li1 0.000 0.000 0.000
Li2 0.057 0.500 0.824
Li3 0.060 0.000 0.307
Li4 0.183 0.000 0.936
Li5 0.184 0.500 0.428
Mn1 0.249 0.000 0.248
Co1 0.000 0.500 0.500
Co2 0.114 0.500 0.120
Co3 0.123 0.000 0.624
O1 0.032 0.000 0.647
O2 0.037 0.500 0.160
O3 0.096 0.500 0.482
O4 0.098 0.000 0.977
O5 0.161 0.500 0.769
O6 0.163 0.000 0.272
O7 0.222 0.000 0.611
O8 0.224 0.500 0.112


Structure and calculated X-ray powder pattern of Ba6Y2Fe4O15 (a GGA+U-relaxed structure; CuKα).

Most intense lines, 2θ from 10° to 90°, in order of falling intensity:
| h k l | d [Å] | Rel. int. |
| --- | --- | --- |
| 2 1 3 | 2.957 | 100 |
| 2 1 -3 | 2.997 | 92 |
| 0 2 0 | 3.036 | 53 |
| 0 0 6 | 3.117 | 50 |
| 0 2 6 | 2.175 | 48 |
| 4 0 0 | 2.042 | 23 |
| 4 2 0 | 1.694 | 23 |
| 2 1 -9 | 1.784 | 18 |
| 2 1 9 | 1.759 | 17 |
| 0 1 3 | 4.349 | 16 |
| 2 3 -3 | 1.745 | 16 |
| 2 3 3 | 1.737 | 15 |

Crystal structure
Unit cell a=8.168 b=6.072 c=18.705 alpha=90.00 beta=91.10 gamma=90.00
Space group P2/c (No. 13)
Asymmetric unit:
Ba1 0.000 0.173 0.250
Ba2 0.001 0.250 0.923
Ba3 0.474 0.251 0.911
Ba4 0.500 0.222 0.250
Y1 0.254 0.248 0.091
Fe1 0.254 0.246 0.440
Fe2 0.270 0.274 0.734
O1 0.029 0.255 0.410
O2 0.193 0.163 0.820
O3 0.224 0.447 0.193
O4 0.249 0.054 0.662
O5 0.265 0.011 0.998
O6 0.269 0.487 0.507
O7 0.458 0.265 0.391
O8 0.500 0.299 0.750


Structure and calculated X-ray powder pattern of ZnCr4O6 (a GGA+U-relaxed structure; CuKα).

Most intense lines, 2θ from 10° to 90°, in order of falling intensity:
| h k l | d [Å] | Rel. int. |
| --- | --- | --- |
| 0 2 5 | 2.631 | 100 |
| 1 3 2 | 2.150 | 85 |
| 1 1 3 | 2.509 | 41 |
| 1 3 3 | 2.053 | 39 |
| 1 1 2 | 2.694 | 32 |
| 1 1 8 | 1.600 | 28 |
| 1 3 1 | 2.216 | 28 |
| 0 0 10 | 1.542 | 24 |
| 0 4 0 | 2.525 | 24 |
| 1 5 4 | 1.536 | 24 |
| 0 2 6 | 2.289 | 23 |
| 2 0 0 | 1.500 | 20 |

Crystal structure
Unit cell a=2.999 b=10.099 c=15.411 alpha=90.00 beta=90.00 gamma=90.00
Space group Cmcm (No. 63)
Asymmetric unit:
Zn1 0.000 0.161 0.250
Cr1 0.000 0.096 0.635
Cr2 0.000 0.364 0.546
O1 0.000 0.000 0.000
O2 0.000 0.199 0.750
O3 0.000 0.285 0.080
O4 0.000 0.460 0.660


Structure and calculated X-ray powder pattern of Na2NiPCO7 (a GGA+U-relaxed structure; CuKα).

Most intense lines, 2θ from 10° to 90°, in order of falling intensity:
| h k l | d [Å] | Rel. int. |
| --- | --- | --- |
| 0 0 1 | 8.716 | 100 |
| 1 2 1 | 2.682 | 37 |
| 0 1 1 | 5.367 | 35 |
| 0 2 0 | 3.406 | 34 |
| 2 0 0 | 2.552 | 34 |
| 1 0 -2 | 3.362 | 25 |
| 1 1 0 | 4.083 | 21 |
| 1 2 -1 | 2.707 | 20 |
| 1 0 1 | 4.352 | 20 |
| 0 2 4 | 1.835 | 16 |
| 0 3 1 | 2.197 | 14 |
| 0 4 0 | 1.703 | 14 |

Crystal structure
Unit cell a=5.103 b=6.811 c=8.720 alpha=90.00 beta=91.67 gamma=90.00
Space group P2_1/m (No. 11)
Asymmetric unit:
Na1 0.247 0.014 0.243
Ni1 0.220 0.250 0.848
P1 0.279 0.750 0.918
C1 0.285 0.250 0.574
O1 0.058 0.250 0.637
O2 0.139 0.750 0.074
O3 0.213 0.565 0.824
O4 0.316 0.250 0.432
O5 0.418 0.250 0.042
O6 0.478 0.250 0.675


Structure and calculated X-ray powder pattern of NaFeP2O7 (a GGA+U-relaxed structure; CuKα).

Most intense lines, 2θ from 10° to 90°, in order of falling intensity:
| h k l | d [Å] | Rel. int. |
| --- | --- | --- |
| 1 2 -1 | 3.055 | 100 |
| 0 1 1 | 5.272 | 82 |
| 1 1 1 | 3.165 | 53 |
| 1 1 -1 | 3.979 | 48 |
| 1 0 1 | 3.427 | 36 |
| 2 0 0 | 2.343 | 30 |
| 0 2 2 | 2.636 | 28 |
| 1 1 0 | 4.077 | 25 |
| 1 3 -2 | 2.103 | 21 |
| 1 1 -2 | 3.032 | 21 |
| 1 2 -3 | 2.038 | 19 |
| 3 2 -1 | 1.517 | 17 |

Crystal structure
Unit cell a=4.905 b=8.257 c=7.168 alpha=90.00 beta=107.11 gamma=90.00
Space group P2_1 (No. 4)
Asymmetric unit:
Na1 0.228 0.000 0.237
Fe1 0.219 0.416 0.235
P1 0.231 0.150 0.613
P2 0.385 0.721 0.996
O1 0.033 0.606 0.327
O2 0.158 0.252 0.427
O3 0.158 0.854 0.953
O4 0.264 0.551 0.002
O5 0.408 0.001 0.591
O6 0.418 0.229 0.134
O7 0.430 0.268 0.780


Structure and calculated X-ray powder pattern of MnOF (a GGA+U-relaxed structure; CuKα).

Most intense lines, 2θ from 10° to 90°, in order of falling intensity:
| h k l | d [Å] | Rel. int. |
| --- | --- | --- |
| 1 0 -4 | 3.392 | 100 |
| 1 0 4 | 3.361 | 95 |
| 0 1 4 | 2.583 | 65 |
| 1 1 0 | 2.595 | 44 |
| 0 1 12 | 1.405 | 30 |
| 1 1 -8 | 1.754 | 29 |
| 1 1 8 | 1.745 | 29 |
| 0 2 0 | 1.540 | 24 |
| 1 0 -3 | 3.846 | 23 |
| 1 0 3 | 3.812 | 20 |
| 1 1 4 | 2.271 | 20 |
| 1 1 -1 | 2.571 | 18 |

Crystal structure
Unit cell a=4.816 b=3.081 c=18.944 alpha=90.00 beta=90.52 gamma=90.00
Space group P2/m (No. 10)
Asymmetric unit:
Mn1 0.000 0.000 0.000
Mn2 0.000 0.000 0.500
Mn3 0.148 0.000 0.249
Mn4 0.419 0.500 0.874
Mn5 0.427 0.500 0.625
O1 0.163 0.500 0.950
O2 0.264 0.000 0.575
O3 0.312 0.500 0.201
O4 0.404 0.000 0.325
F1 0.073 0.500 0.705
F2 0.192 0.000 0.825
F3 0.211 0.500 0.452
F4 0.366 0.000 0.079


Structure and calculated X-ray powder pattern of Li5Mn8B8O24 (a GGA+U-relaxed structure; CuKα).

Most intense lines, 2θ from 10° to 90°, in order of falling intensity:
| h k l | d [Å] | Rel. int. |
| --- | --- | --- |
| 0 0 8 | 2.531 | 100 |
| 1 -1 0 | 4.554 | 79 |
| 1 0 -4 | 3.484 | 77 |
| 1 0 2 | 4.164 | 66 |
| 0 1 2 | 4.191 | 43 |
| 1 -2 0 | 2.655 | 43 |
| 1 0 0 | 4.655 | 42 |
| 1 -1 2 | 4.142 | 36 |
| 2 -1 0 | 2.642 | 35 |
| 2 0 -2 | 2.281 | 34 |
| 1 1 0 | 2.707 | 32 |
| 1 2 -2 | 1.756 | 27 |

Crystal structure
Unit cell a=5.287 b=5.312 c=20.263 alpha=90.78 beta=91.47 gamma=118.49
Space group P1 (No. 1)
Asymmetric unit:
Li1 0.000 0.000 0.000
Li2 0.022 0.993 0.496
Li3 0.068 0.977 0.239
Li4 0.310 0.267 0.867
Li5 0.363 0.295 0.631
Mn1 0.021 0.610 0.389
Mn2 0.353 0.653 0.763
Mn3 0.383 0.623 0.266
Mn4 0.654 0.955 0.139
Mn5 0.664 0.321 0.015
Mn6 0.685 0.316 0.515
Mn7 0.717 0.966 0.641
Mn8 0.984 0.625 0.887
B1 0.024 0.617 0.141
B2 0.041 0.634 0.642
B3 0.319 0.641 0.015
B4 0.353 0.640 0.516
B5 0.662 0.976 0.888
B6 0.674 0.285 0.766
B7 0.685 0.982 0.392
B8 0.700 0.283 0.264
O1 0.072 0.901 0.636
O2 0.084 0.676 0.994
O3 0.118 0.667 0.487
O4 0.278 0.596 0.666
O5 0.285 0.629 0.163
O6 0.314 0.385 0.009
O7 0.323 0.373 0.527
O8 0.417 0.729 0.861
O9 0.426 0.769 0.364
O10 0.428 0.306 0.772
O11 0.442 0.272 0.262
O12 0.572 0.888 0.040
O13 0.605 0.888 0.534
O14 0.627 0.210 0.908
O15 0.671 0.032 0.744
O16 0.692 0.241 0.411
O17 0.737 0.054 0.237
O18 0.787 0.388 0.622
O19 0.811 0.357 0.114
O20 0.917 0.940 0.400
O21 0.920 0.980 0.897
O22 0.941 0.512 0.785
O23 0.949 0.523 0.291
O24 0.982 0.848 0.147